1.
Computed powder X-ray diffraction pattern of Li7Pd12Pt for a wavelength of 1.5418 Å, from a crystal structure in Alexandria, relaxed with GGA-PBE.
Kinematic intensities with the Lorentz-polarization factor, no thermal factor.

Structural model:
```
Li7Pd12Pt
1.0
4.789 2.765 3.962
-4.789 2.765 3.962
0.000 -5.530 3.962
Li Pd Pt
7 12 1
Direct
0.000 0.000 0.000 Li
0.116 0.469 0.346 Li
0.346 0.116 0.469 Li
0.469 0.346 0.116 Li
0.531 0.654 0.884 Li
0.654 0.884 0.531 Li
0.884 0.531 0.654 Li
0.003 0.100 0.664 Pd
0.100 0.664 0.003 Pd
0.221 0.749 0.624 Pd
0.251 0.376 0.779 Pd
0.336 0.997 0.900 Pd
0.376 0.779 0.251 Pd
0.624 0.221 0.749 Pd
0.664 0.003 0.100 Pd
0.749 0.624 0.221 Pd
0.779 0.251 0.376 Pd
0.900 0.336 0.997 Pd
0.997 0.900 0.336 Pd
0.500 0.500 0.500 Pt
```

Principal peaks in the range 2θ from 5° to 70°, by angle:
| 2theta | intensity |
| --- | --- |
| 18.37 | 100.0 |
| 22.44 | 40.4 |
| 22.71 | 43.6 |
| 37.56 | 28.4 |
| 39.43 | 30.4 |
| 39.75 | 37.4 |
| 39.91 | 92.5 |
| 41.89 | 57.1 |
| 42.12 | 42.5 |
| 43.90 | 29.3 |
| 44.20 | 21.2 |
| 50.37 | 20.3 |

***

2.
Computed powder X-ray diffraction pattern of LiTaPdPt for a wavelength of 1.5418 Å, from a crystal structure in Alexandria, relaxed with GGA-PBE.
Kinematic intensities with the Lorentz-polarization factor, no thermal factor.

Structural model:
```
LiTaPdPt
1.0
-2.024 2.024 3.689
2.024 -2.024 3.689
2.024 2.024 -3.689
Li Ta Pd Pt
1 1 1 1
Direct
0.000 0.000 0.000 Li
0.500 0.500 0.000 Ta
0.750 0.250 0.500 Pd
0.250 0.750 0.500 Pt
```

Principal peaks in the range 2θ from 5° to 70°, by angle:
| 2theta | intensity |
| --- | --- |
| 24.13 | 5.4 |
| 25.09 | 52.4 |
| 31.25 | 5.6 |
| 39.87 | 100.0 |
| 43.04 | 12.8 |
| 44.78 | 36.0 |
| 49.42 | 13.5 |
| 52.02 | 15.0 |
| 63.85 | 8.2 |
| 65.19 | 11.8 |
| 67.58 | 3.5 |
| 68.88 | 20.1 |

***

3.
Computed powder X-ray diffraction pattern of Li3PuPd4 for a wavelength of 1.5418 Å, from a crystal structure in Alexandria, relaxed with GGA-PBE.
Kinematic intensities with the Lorentz-polarization factor, no thermal factor.

Structural model:
```
Li3PuPd4
1.0
4.280 0.000 0.000
0.000 4.280 0.000
0.000 0.000 6.880
Li Pu Pd
3 1 4
Direct
0.000 0.000 0.000 Li
0.000 0.000 0.500 Li
0.500 0.500 0.000 Li
0.500 0.500 0.500 Pu
0.000 0.500 0.227 Pd
0.000 0.500 0.773 Pd
0.500 0.000 0.227 Pd
0.500 0.000 0.773 Pd
```

Principal peaks in the range 2θ from 5° to 70°, by angle:
| 2theta | intensity |
| --- | --- |
| 12.87 | 22.3 |
| 20.75 | 30.2 |
| 24.50 | 40.8 |
| 32.32 | 33.1 |
| 33.42 | 18.8 |
| 39.29 | 9.7 |
| 39.67 | 100.0 |
| 42.23 | 44.1 |
| 49.43 | 12.9 |
| 54.89 | 9.5 |
| 59.04 | 11.9 |
| 61.26 | 14.6 |

***

4.
Computed powder X-ray diffraction pattern of Li2PuPd8 for a wavelength of 1.5418 Å, from a crystal structure in Alexandria, relaxed with GGA-PBE.
Kinematic intensities with the Lorentz-polarization factor, no thermal factor.

Structural model:
```
Li2PuPd8
1.0
7.075 -2.058 0.000
7.075 2.058 0.000
-1.773 0.000 6.007
Li Pu Pd
2 1 8
Direct
0.227 0.227 0.147 Li
0.773 0.773 0.853 Li
0.500 0.500 0.500 Pu
0.047 0.047 0.226 Pd
0.143 0.143 0.700 Pd
0.316 0.316 0.579 Pd
0.404 0.404 0.035 Pd
0.596 0.596 0.965 Pd
0.684 0.684 0.421 Pd
0.857 0.857 0.300 Pd
0.953 0.953 0.774 Pd
```

Principal peaks in the range 2θ from 5° to 70°, by angle:
| 2theta | intensity |
| --- | --- |
| 13.05 | 46.6 |
| 14.75 | 24.7 |
| 30.28 | 17.3 |
| 33.81 | 16.5 |
| 36.09 | 16.5 |
| 39.03 | 100.0 |
| 39.19 | 96.8 |
| 44.01 | 39.3 |
| 45.62 | 31.7 |
| 46.74 | 31.5 |
| 65.25 | 21.5 |
| 66.15 | 20.5 |

***

5.
Computed powder X-ray diffraction pattern of LiPu4Pd4 for a wavelength of 1.5418 Å, from a crystal structure in Alexandria, relaxed with GGA-PBE.
Kinematic intensities with the Lorentz-polarization factor, no thermal factor.

Structural model:
```
LiPu4Pd4
1.0
-5.272 5.272 1.794
5.272 -5.272 1.794
5.272 5.272 -1.794
Li Pu Pd
1 4 4
Direct
0.000 0.000 0.000 Li
0.086 0.695 0.781 Pu
0.305 0.086 0.391 Pu
0.695 0.914 0.609 Pu
0.914 0.305 0.219 Pu
0.337 0.595 0.931 Pd
0.405 0.337 0.742 Pd
0.595 0.663 0.258 Pd
0.663 0.405 0.069 Pd
```

Principal peaks in the range 2θ from 5° to 70°, by angle:
| 2theta | intensity |
| --- | --- |
| 23.87 | 17.1 |
| 26.74 | 26.4 |
| 31.33 | 100.0 |
| 35.76 | 31.0 |
| 38.17 | 60.5 |
| 39.77 | 8.9 |
| 43.46 | 21.3 |
| 50.18 | 39.0 |
| 50.90 | 12.9 |
| 55.09 | 13.2 |
| 64.76 | 13.9 |
| 65.37 | 25.5 |

***

6.
Computed powder X-ray diffraction pattern of Li2PuSb2Pd2 for a wavelength of 1.5418 Å, from a crystal structure in Alexandria, relaxed with GGA-PBE.
Kinematic intensities with the Lorentz-polarization factor, no thermal factor.

Structural model:
```
Li2PuSb2Pd2
1.0
2.253 1.301 7.973
-2.253 1.301 7.973
0.000 -2.602 7.973
Li Pu Sb Pd
2 1 2 2
Direct
0.140 0.140 0.140 Li
0.860 0.860 0.860 Li
0.000 0.000 0.000 Pu
0.256 0.256 0.256 Sb
0.744 0.744 0.744 Sb
0.433 0.433 0.433 Pd
0.567 0.567 0.567 Pd
```

Principal peaks in the range 2θ from 5° to 70°, by angle:
| 2theta | intensity |
| --- | --- |
| 11.10 | 45.3 |
| 27.29 | 100.0 |
| 29.54 | 37.1 |
| 34.90 | 76.2 |
| 40.01 | 94.0 |
| 49.11 | 20.3 |
| 53.30 | 17.1 |
| 54.12 | 21.8 |
| 62.18 | 28.3 |
| 65.13 | 17.5 |
| 67.04 | 15.9 |
| 69.39 | 20.7 |

***

7.
Computed powder X-ray diffraction pattern of Rb3LiPd for a wavelength of 1.5418 Å, from a crystal structure in Alexandria, relaxed with GGA-PBE.
Kinematic intensities with the Lorentz-polarization factor, no thermal factor.

Structural model:
```
Rb3LiPd
1.0
6.600 0.000 0.000
0.000 6.600 0.000
0.000 0.000 6.600
Rb Li Pd
3 1 1
Direct
0.000 0.000 0.500 Rb
0.000 0.500 0.000 Rb
0.500 0.000 0.000 Rb
0.500 0.500 0.500 Li
0.000 0.000 0.000 Pd
```

Principal peaks in the range 2θ from 5° to 70°, by angle:
| 2theta | intensity |
| --- | --- |
| 13.42 | 100.0 |
| 23.34 | 25.3 |
| 27.02 | 74.9 |
| 30.28 | 57.4 |
| 38.58 | 56.9 |
| 41.03 | 30.9 |
| 47.74 | 20.3 |
| 49.81 | 13.9 |
| 57.58 | 17.9 |
| 62.98 | 26.3 |
| 64.72 | 12.5 |
| 69.81 | 19.4 |

***

8.
Computed powder X-ray diffraction pattern of LiRePdSe2 for a wavelength of 1.5418 Å, from a crystal structure in Alexandria, relaxed with GGA-PBE.
Kinematic intensities with the Lorentz-polarization factor, no thermal factor.

Structural model:
```
LiRePdSe2
1.0
4.745 0.000 0.000
0.000 4.745 0.000
0.000 0.000 4.872
Li Re Pd Se
1 1 1 2
Direct
0.000 0.000 0.000 Li
0.000 0.000 0.500 Re
0.500 0.500 0.000 Pd
0.000 0.500 0.500 Se
0.500 0.000 0.500 Se
```

Principal peaks in the range 2θ from 5° to 70°, by angle:
| 2theta | intensity |
| --- | --- |
| 18.21 | 38.1 |
| 26.22 | 100.0 |
| 26.57 | 11.0 |
| 36.90 | 25.8 |
| 37.93 | 47.9 |
| 42.38 | 17.8 |
| 46.69 | 42.1 |
| 53.95 | 34.4 |
| 54.72 | 16.5 |
| 60.23 | 9.8 |
| 61.66 | 9.2 |
| 67.83 | 17.2 |

***

9.
Computed powder X-ray diffraction pattern of Li3Pd3Rh for a wavelength of 1.5418 Å, from a crystal structure in Alexandria, relaxed with GGA-PBE.
Kinematic intensities with the Lorentz-polarization factor, no thermal factor.

Structural model:
```
Li3Pd3Rh
1.0
4.249 2.453 1.718
-4.249 2.453 1.718
0.000 -4.906 1.718
Li Pd Rh
3 3 1
Direct
0.177 0.177 0.645 Li
0.177 0.645 0.177 Li
0.645 0.177 0.177 Li
0.186 0.674 0.674 Pd
0.674 0.186 0.674 Pd
0.674 0.674 0.186 Pd
0.739 0.739 0.739 Rh
```

Principal peaks in the range 2θ from 5° to 70°, by angle:
| 2theta | intensity |
| --- | --- |
| 21.04 | 100.0 |
| 29.83 | 46.1 |
| 36.71 | 51.3 |
| 42.55 | 73.6 |
| 42.84 | 65.3 |
| 47.94 | 21.5 |
| 48.13 | 5.2 |
| 52.84 | 8.9 |
| 57.43 | 12.6 |
| 57.89 | 9.2 |
| 61.97 | 21.1 |
| 66.43 | 6.3 |

***

10.
Computed powder X-ray diffraction pattern of Li2Pd4Rh for a wavelength of 1.5418 Å, from a crystal structure in Alexandria, relaxed with GGA-PBE.
Kinematic intensities with the Lorentz-polarization factor, no thermal factor.

Structural model:
```
Li2Pd4Rh
1.0
2.632 -4.749 0.000
2.632 4.749 0.000
0.000 0.000 8.907
Li Pd Rh
4 8 2
Direct
0.005 0.779 0.000 Li
0.221 0.995 0.500 Li
0.779 0.005 0.500 Li
0.995 0.221 0.000 Li
0.000 0.500 0.234 Pd
0.000 0.500 0.766 Pd
0.267 0.535 0.500 Pd
0.465 0.733 0.000 Pd
0.500 0.000 0.266 Pd
0.500 0.000 0.734 Pd
0.535 0.267 0.000 Pd
0.733 0.465 0.500 Pd
0.500 0.500 0.250 Rh
0.500 0.500 0.750 Rh
```

Principal peaks in the range 2θ from 5° to 70°, by angle:
| 2theta | intensity |
| --- | --- |
| 18.69 | 20.6 |
| 19.28 | 100.0 |
| 21.73 | 15.0 |
| 35.99 | 20.2 |
| 38.87 | 41.8 |
| 39.13 | 33.7 |
| 40.50 | 72.0 |
| 43.18 | 74.5 |
| 44.29 | 50.5 |
| 45.23 | 21.0 |
| 50.14 | 15.1 |
| 57.59 | 19.1 |

***

11.
Computed powder X-ray diffraction pattern of Li3PdRh for a wavelength of 1.5418 Å, from a crystal structure in Alexandria, relaxed with GGA-PBE.
Kinematic intensities with the Lorentz-polarization factor, no thermal factor.

Structural model:
```
Li3PdRh
1.0
2.327 1.343 8.082
-2.327 1.343 8.082
0.000 -2.686 8.082
Li Pd Rh
6 2 2
Direct
0.096 0.749 0.401 Li
0.251 0.599 0.904 Li
0.401 0.096 0.749 Li
0.599 0.904 0.251 Li
0.749 0.401 0.096 Li
0.904 0.251 0.599 Li
0.168 0.168 0.168 Pd
0.832 0.832 0.832 Pd
0.332 0.332 0.332 Rh
0.668 0.668 0.668 Rh
```

Principal peaks in the range 2θ from 5° to 70°, by angle:
| 2theta | intensity |
| --- | --- |
| 22.00 | 77.0 |
| 23.26 | 61.6 |
| 26.56 | 38.0 |
| 37.12 | 21.6 |
| 38.70 | 56.8 |
| 43.57 | 7.7 |
| 44.94 | 100.0 |
| 45.64 | 10.3 |
| 47.56 | 7.2 |
| 60.71 | 29.3 |
| 61.35 | 8.2 |
| 69.01 | 6.6 |

***

12.
Computed powder X-ray diffraction pattern of Li6PdRh for a wavelength of 1.5418 Å, from a crystal structure in Alexandria, relaxed with GGA-PBE.
Kinematic intensities with the Lorentz-polarization factor, no thermal factor.

Structural model:
```
Li6PdRh
1.0
3.816 0.000 0.000
0.000 3.816 0.000
0.000 0.000 7.746
Li Pd Rh
6 1 1
Direct
0.000 0.000 0.000 Li
0.000 0.000 0.500 Li
0.000 0.500 0.243 Li
0.000 0.500 0.757 Li
0.500 0.000 0.243 Li
0.500 0.000 0.757 Li
0.500 0.500 0.500 Pd
0.500 0.500 0.000 Rh
```

Principal peaks in the range 2θ from 5° to 70°, by angle:
| 2theta | intensity |
| --- | --- |
| 22.96 | 51.9 |
| 23.31 | 100.0 |
| 32.95 | 81.7 |
| 33.20 | 40.0 |
| 40.76 | 65.0 |
| 47.67 | 20.6 |
| 53.03 | 20.6 |
| 53.54 | 20.0 |
| 53.72 | 19.8 |
| 58.68 | 15.1 |
| 59.17 | 29.4 |
| 69.11 | 13.2 |

***

Q: Number 1 is which compound?
A: Li7Pd12Pt